Entry 1:
Simulated powder X-ray diffraction pattern of InAgSe2 for a wavelength of 1.5418 Å, from a crystal structure in Alexandria, relaxed with GGA-PBE.
No peak broadening, texture or thermal motion is included.

Cell and atoms:
```
InAgSe2
1.0
7.4600 0.0000 0.0000
0.0000 8.7222 0.0000
0.0000 0.0000 7.1192
In Ag Se
4 4 8
Direct
0.0765 0.1262 0.0000
0.4235 0.6262 0.5000
0.5765 0.3738 0.0000
0.9235 0.8738 0.5000
0.0908 0.6238 0.0042
0.4092 0.1238 0.5042
0.5908 0.8762 0.0042
0.9092 0.3762 0.5042
0.0745 0.1256 0.3721
0.0878 0.6244 0.3799
0.4122 0.1244 0.8799
0.4255 0.6256 0.8721
0.5745 0.3744 0.3721
0.5878 0.8756 0.3799
0.9122 0.3756 0.8799
0.9255 0.8744 0.8721
```

Main lines, in order of rising 2θ (2θ = 5–70°):
| 2theta | Rel. int. |
| --- | --- |
| 23.63 | 1000 |
| 23.86 | 511 |
| 25.02 | 900 |
| 26.79 | 783 |
| 26.99 | 384 |
| 34.68 | 377 |
| 41.41 | 455 |
| 41.82 | 867 |
| 45.16 | 912 |
| 45.29 | 442 |
| 49.35 | 537 |
| 63.03 | 318 |



Entry 2:
Simulated powder X-ray diffraction pattern of In2AgSe for a wavelength of 1.5418 Å, from a crystal structure in Alexandria, relaxed with GGA-PBE.
No peak broadening, texture or thermal motion is included.

Cell and atoms:
```
In2AgSe
1.0
3.9959 0.0000 0.0000
0.0000 4.1714 0.0000
0.0000 0.0000 11.9156
In Ag Se
4 2 2
Direct
0.0000 0.0000 0.1943
0.0000 0.0000 0.8057
0.5000 0.5000 0.3057
0.5000 0.5000 0.6943
0.0000 0.5000 0.0000
0.5000 0.0000 0.5000
0.0000 0.5000 0.5000
0.5000 0.0000 0.0000
```

Main lines, in order of rising 2θ (2θ = 5–70°):
| 2theta | Rel. int. |
| --- | --- |
| 23.48 | 125 |
| 30.00 | 143 |
| 31.09 | 268 |
| 31.77 | 131 |
| 34.54 | 1000 |
| 43.39 | 172 |
| 43.71 | 158 |
| 44.25 | 123 |
| 45.39 | 150 |
| 56.04 | 95 |
| 64.60 | 101 |
| 64.85 | 97 |



Entry 3:
Simulated powder X-ray diffraction pattern of InAg2Se2 for a wavelength of 1.5418 Å, from a crystal structure in Alexandria, relaxed with GGA-PBE.
No peak broadening, texture or thermal motion is included.

Cell and atoms:
```
InAg2Se2
1.0
4.0637 0.0000 0.0000
0.0000 4.0637 0.0000
0.0000 0.0000 14.3135
In Ag Se
2 4 4
Direct
0.0000 0.0000 0.0000
0.5000 0.5000 0.5000
0.0000 0.5000 0.2500
0.0000 0.5000 0.7500
0.5000 0.0000 0.2500
0.5000 0.0000 0.7500
0.0000 0.0000 0.3804
0.0000 0.0000 0.6196
0.5000 0.5000 0.1196
0.5000 0.5000 0.8804
```

Main lines, in order of rising 2θ (2θ = 5–70°):
| 2theta | Rel. int. |
| --- | --- |
| 12.37 | 207 |
| 24.88 | 148 |
| 28.86 | 569 |
| 33.61 | 1000 |
| 38.47 | 336 |
| 40.25 | 341 |
| 44.60 | 449 |
| 49.67 | 246 |
| 51.05 | 145 |
| 53.99 | 190 |
| 60.33 | 174 |
| 64.90 | 141 |



Entry 4:
Simulated powder X-ray diffraction pattern of Tb3InAg3Se8 for a wavelength of 1.5418 Å, from a crystal structure in Alexandria, relaxed with GGA-PBE.
No peak broadening, texture or thermal motion is included.

Cell and atoms:
```
Tb3InAg3Se8
1.0
6.9034 -4.1354 0.0000
6.9034 4.1354 0.0000
-4.4577 0.0000 6.7275
Tb In Ag Se
3 1 3 8
Direct
0.0000 0.0000 0.0000
0.0000 0.5000 0.5000
0.5000 0.0000 0.5000
0.5000 0.5000 0.0000
0.0000 0.5000 0.0000
0.5000 0.0000 0.0000
0.5000 0.5000 0.5000
0.2486 0.2486 0.2528
0.2568 0.2568 0.7594
0.2566 0.7393 0.2419
0.2607 0.7434 0.7581
0.7393 0.2566 0.2419
0.7434 0.2607 0.7581
0.7432 0.7432 0.2406
0.7514 0.7514 0.7472
```

Main lines, in order of rising 2θ (2θ = 5–70°):
| 2theta | Rel. int. |
| --- | --- |
| 13.65 | 102 |
| 15.36 | 77 |
| 25.29 | 61 |
| 26.53 | 76 |
| 30.98 | 1000 |
| 31.08 | 496 |
| 43.80 | 568 |
| 44.96 | 176 |
| 45.10 | 349 |
| 54.63 | 291 |
| 56.76 | 89 |
| 64.56 | 116 |



Entry 5:
Simulated powder X-ray diffraction pattern of InAgTeSe for a wavelength of 1.5418 Å, from a crystal structure in Alexandria, relaxed with GGA-PBE.
No peak broadening, texture or thermal motion is included.

Cell and atoms:
```
InAgTeSe
1.0
6.3421 0.0000 0.0000
0.0000 6.4268 0.0000
0.0000 0.0000 12.5009
In Ag Te Se
4 4 4 4
Direct
0.0000 0.2500 0.1192
0.0000 0.7500 0.3808
0.5000 0.2500 0.8808
0.5000 0.7500 0.6192
0.0000 0.2500 0.6134
0.0000 0.7500 0.8866
0.5000 0.2500 0.3866
0.5000 0.7500 0.1134
0.2397 0.5000 0.7500
0.2603 0.5000 0.2500
0.7397 0.0000 0.2500
0.7603 0.0000 0.7500
0.2500 0.0093 0.0000
0.2500 0.9907 0.5000
0.7500 0.4907 0.0000
0.7500 0.5093 0.5000
```

Main lines, in order of rising 2θ (2θ = 5–70°):
| 2theta | Rel. int. |
| --- | --- |
| 24.32 | 1000 |
| 39.94 | 266 |
| 40.25 | 254 |
| 40.53 | 249 |
| 47.08 | 164 |
| 47.56 | 158 |
| 48.10 | 145 |
| 57.35 | 45 |
| 58.19 | 42 |
| 63.60 | 64 |
| 64.05 | 60 |
| 64.44 | 59 |



Entry 6:
Simulated powder X-ray diffraction pattern of InAg2TeSe4 for a wavelength of 1.5418 Å, from a crystal structure in Alexandria, relaxed with GGA-PBE.
No peak broadening, texture or thermal motion is included.

Cell and atoms:
```
InAg2TeSe4
1.0
8.1009 0.0000 0.0000
0.0000 8.1106 0.0000
-4.0492 0.0000 5.7822
In Ag Te Se
2 4 2 8
Direct
0.0000 0.0000 0.0000
0.5000 0.5000 0.0000
0.0000 0.2491 0.5000
0.0000 0.5005 0.0000
0.5000 0.0005 0.0000
0.5000 0.7491 0.5000
0.0000 0.7499 0.5000
0.5000 0.2499 0.5000
0.2466 0.7501 0.9934
0.2468 0.9994 0.4929
0.2534 0.2501 0.0066
0.2532 0.4994 0.5071
0.7466 0.2501 0.9934
0.7468 0.4994 0.4929
0.7534 0.7501 0.0066
0.7532 0.9994 0.5071
```

Main lines, in order of rising 2θ (2θ = 5–70°):
| 2theta | Rel. int. |
| --- | --- |
| 26.86 | 103 |
| 30.93 | 511 |
| 31.21 | 1000 |
| 44.52 | 733 |
| 44.72 | 363 |
| 52.58 | 16 |
| 52.94 | 30 |
| 55.37 | 377 |
| 64.46 | 58 |
| 65.10 | 115 |



Entry 7:
Simulated powder X-ray diffraction pattern of TlIn2AgSe4 for a wavelength of 1.5418 Å, from a crystal structure in Alexandria, relaxed with GGA-PBE.
No peak broadening, texture or thermal motion is included.

Cell and atoms:
```
TlIn2AgSe4
1.0
6.0654 0.0000 0.0000
0.0000 6.0654 0.0000
0.0000 0.0000 14.0597
Tl In Ag Se
2 4 2 8
Direct
0.0000 0.0000 0.0000
0.5000 0.5000 0.5000
0.0000 0.5000 0.2500
0.0000 0.5000 0.7500
0.5000 0.0000 0.2500
0.5000 0.0000 0.7500
0.0000 0.0000 0.5000
0.5000 0.5000 0.0000
0.2232 0.2232 0.3603
0.2232 0.7768 0.6397
0.2768 0.2768 0.8603
0.2768 0.7232 0.1397
0.7232 0.2768 0.1397
0.7232 0.7232 0.8603
0.7768 0.2232 0.6397
0.7768 0.7768 0.3603
```

Main lines, in order of rising 2θ (2θ = 5–70°):
| 2theta | Rel. int. |
| --- | --- |
| 24.00 | 46 |
| 24.31 | 1000 |
| 29.45 | 47 |
| 39.24 | 497 |
| 42.14 | 204 |
| 44.04 | 195 |
| 49.24 | 282 |
| 52.04 | 48 |
| 61.12 | 61 |
| 62.59 | 122 |
| 66.77 | 50 |
| 69.10 | 76 |



Entry 8:
Simulated powder X-ray diffraction pattern of Tl2InAgSe4 for a wavelength of 1.5418 Å, from a crystal structure in Alexandria, relaxed with GGA-PBE.
No peak broadening, texture or thermal motion is included.

Cell and atoms:
```
Tl2InAgSe4
1.0
6.8178 0.0000 0.0000
0.0000 6.8178 0.0000
0.0000 0.0000 11.3615
Tl In Ag Se
4 2 2 8
Direct
0.0000 0.0000 0.0000
0.0000 0.5000 0.2500
0.5000 0.0000 0.7500
0.5000 0.5000 0.5000
0.0000 0.0000 0.5000
0.5000 0.5000 0.0000
0.0000 0.5000 0.7500
0.5000 0.0000 0.2500
0.2177 0.7802 0.6380
0.2198 0.2177 0.3620
0.2802 0.2823 0.8620
0.2823 0.7198 0.1380
0.7177 0.2802 0.1380
0.7198 0.7177 0.8620
0.7802 0.7823 0.3620
0.7823 0.2198 0.6380
```

Main lines, in order of rising 2θ (2θ = 5–70°):
| 2theta | Rel. int. |
| --- | --- |
| 15.16 | 50 |
| 24.21 | 1000 |
| 26.14 | 93 |
| 30.35 | 70 |
| 37.30 | 272 |
| 41.38 | 413 |
| 44.97 | 371 |
| 49.60 | 42 |
| 51.88 | 123 |
| 53.78 | 85 |
| 59.81 | 71 |
| 65.62 | 109 |



What is the formula in the fourth record? Tb3InAg3Se8